Structure and computed powder diffraction line list of SrCo2PbSe2O2 (a cell relaxed with PBE+U; λ = 1.5418 Å (Cu Kα)).

Main lines, in order of falling intensity (15° ≤ 2θ ≤ 90°):
| hkl | d [Å] | intensity |
| --- | --- | --- |
| 1 0 3 | 2.601 | 100 |
| 0 1 1 | 3.335 | 85 |
| 1 1 0 | 2.008 | 59 |
| 0 1 2 | 2.993 | 56 |
| 1 1 4 | 1.658 | 35 |
| 0 0 4 | 2.939 | 32 |
| 0 1 6 | 1.707 | 24 |
| 0 2 3 | 1.589 | 22 |
| 2 1 3 | 1.246 | 20 |
| 0 1 7 | 1.512 | 17 |

Cell and atoms:
Unit cell a=4.0158 b=4.0158 c=11.7542 alpha=90.00 beta=90.00 gamma=120.00
Space group P3m1 (No. 156)
One atom of each set of equivalent atoms:
1 Sr 0.0000 0.0000 0.0000
2 Co 0.3333 0.6667 0.2739
3 Co 0.3333 0.6667 0.7801
4 Pb 0.6667 0.3333 0.5063
5 Se 0.0000 0.0000 0.7047
6 Se 0.6667 0.3333 0.1980
7 O 0.3333 0.6667 0.4345
8 O 0.3333 0.6667 0.9389